Theoretical powder diffraction line list
Compound: SmAl7Au3
Radiation: Cu Kα
Structure: a PBE-relaxed structure
Kinematic intensities with the Lorentz-polarization factor, no thermal factor.

Structure:
```
data_SmAl7Au3
_chemical_formula_sum 'Sm6 Al42 Au18'
_space_group_name_H-M_alt 'R -3 c'
_space_group_IT_number 167
_space_group_name_Hall '-R 3 2"c'
_cell_length_a 8.1332
_cell_length_b 8.1332
_cell_length_c 21.1948
_cell_angle_alpha 90.00
_cell_angle_beta 90.00
_cell_angle_gamma 120.00
loop_
_atom_site_label
_atom_site_type_symbol
_atom_site_fract_x
_atom_site_fract_y
_atom_site_fract_z
Sm1 Sm 0.0000 0.0000 0.0000
Al1 Al 0.0000 0.0000 0.2500
Al2 Al 0.0107 0.2063 0.1366
Au1 Au 0.0000 0.3220 0.2500
```

The 6 most intense peaks (2θ = 10–80°), by angle:
two_theta, Rel. int., hkl
25.3, 1000, 1 1 3
33.6, 334, 1 1 6
38.3, 366, 3 0 0
44.5, 309, 1 1 9
46.5, 439, 2 2 3
61.8, 173, 4 1 3